This entry pairs a crystal structure of Be2BH3O5 with its calculated XRD peak list. Radiation: Cu Kα (λ = 1.5418 Å). Structure: a structure optimized by DFT (GGA-PBE).
Kinematic intensities with the Lorentz-polarization factor, no thermal factor.

Crystal structure
```
Be2BH3O5
1.0
4.441 0.000 0.000
0.000 10.803 0.000
-2.216 0.000 3.866
Be B H O
4 2 6 10
Direct
0.014 0.000 0.031
0.345 0.103 0.698
0.655 0.603 0.302
0.986 0.500 0.969
0.321 0.549 0.635
0.679 0.049 0.365
0.112 0.305 0.862
0.223 0.284 0.461
0.268 0.807 0.139
0.732 0.307 0.861
0.777 0.784 0.539
0.888 0.805 0.138
0.012 0.549 0.636
0.024 0.845 0.032
0.322 0.547 0.326
0.342 0.253 0.700
0.369 0.051 0.056
0.631 0.551 0.944
0.658 0.753 0.300
0.678 0.047 0.674
0.976 0.345 0.968
0.988 0.049 0.364
```

Top 10 peaks for 2θ = 10–90°, low angle first:
16.4 deg, intensity 100
24.5 deg, intensity 48
28.4 deg, intensity 52
33.2 deg, intensity 66
34.1 deg, intensity 24
41.4 deg, intensity 33
41.5 deg, intensity 17
43.9 deg, intensity 18
48.0 deg, intensity 25
56.4 deg, intensity 11

---

This entry pairs a crystal structure of Ca3Zn2Ag7 with its calculated XRD peak list. Radiation: Cu Kα (λ = 1.5418 Å). Structure: a structure optimized by DFT (GGA-PBE).
Kinematic intensities with the Lorentz-polarization factor, no thermal factor.

Crystal structure
```
Ca3Zn2Ag7
1.0
2.861 1.652 9.031
-2.861 1.652 9.031
0.000 -3.303 9.031
Ca Zn Ag
3 2 7
Direct
0.000 0.000 0.000
0.141 0.141 0.141
0.859 0.859 0.859
0.333 0.333 0.333
0.667 0.667 0.667
0.078 0.581 0.581
0.419 0.419 0.922
0.419 0.922 0.419
0.500 0.500 0.500
0.581 0.078 0.581
0.581 0.581 0.078
0.922 0.419 0.419
```

Top 10 peaks for 2θ = 10–90°, low angle first:
18.2 deg, intensity 73
19.7 deg, intensity 27
36.4 deg, intensity 41
36.9 deg, intensity 29
37.2 deg, intensity 100
40.0 deg, intensity 100
43.4 deg, intensity 46
59.6 deg, intensity 23
65.2 deg, intensity 30
79.3 deg, intensity 34

---

This entry pairs a crystal structure of Er4Co3Rh with its calculated XRD peak list. Radiation: Cu Kα (λ = 1.5418 Å). Structure: a structure optimized by DFT (GGA-PBE).
Kinematic intensities with the Lorentz-polarization factor, no thermal factor.

Crystal structure
```
Er4Co3Rh
1.0
3.326 0.000 0.000
0.000 4.718 0.000
0.000 0.000 9.417
Er Co Rh
4 3 1
Direct
0.000 0.000 0.000
0.000 0.000 0.500
0.000 0.500 0.244
0.000 0.500 0.756
0.500 0.000 0.249
0.500 0.000 0.751
0.500 0.500 0.000
0.500 0.500 0.500
```

Top 10 peaks for 2θ = 10–90°, low angle first:
26.8 deg, intensity 19
38.2 deg, intensity 100
47.3 deg, intensity 6
55.1 deg, intensity 11
55.2 deg, intensity 6
62.3 deg, intensity 4
62.4 deg, intensity 4
69.0 deg, intensity 11
69.1 deg, intensity 23
81.8 deg, intensity 9

---

This entry pairs a crystal structure of Ac5Mg6 with its calculated XRD peak list. Radiation: Cu Kα (λ = 1.5418 Å). Structure: a structure optimized by DFT (GGA-PBE).
Kinematic intensities with the Lorentz-polarization factor, no thermal factor.

Crystal structure
```
Ac5Mg6
1.0
-2.906 3.982 8.530
2.906 -3.982 8.530
2.906 3.982 -8.530
Ac Mg
5 6
Direct
0.000 0.000 0.000
0.162 0.662 0.500
0.310 0.310 0.000
0.690 0.690 0.000
0.838 0.338 0.500
0.150 0.855 0.294
0.291 0.500 0.791
0.439 0.145 0.294
0.561 0.855 0.706
0.709 0.500 0.209
0.850 0.145 0.706
```

Top 10 peaks for 2θ = 10–90°, low angle first:
12.3 deg, intensity 17
21.9 deg, intensity 60
22.3 deg, intensity 32
28.3 deg, intensity 23
30.8 deg, intensity 25
31.5 deg, intensity 100
38.3 deg, intensity 17
51.1 deg, intensity 16
55.1 deg, intensity 18
56.0 deg, intensity 17

---

This entry pairs a crystal structure of Rb4Li3UF12 with its calculated XRD peak list. Radiation: Cu Kα (λ = 1.5418 Å). Structure: a structure optimized by DFT (GGA-PBE).
Kinematic intensities with the Lorentz-polarization factor, no thermal factor.

Crystal structure
```
Rb4Li3UF12
1.0
-4.298 4.298 4.298
4.298 -4.298 4.298
4.298 4.298 -4.298
Rb Li U F
4 3 1 12
Direct
0.000 0.000 0.500
0.000 0.500 0.000
0.500 0.000 0.000
0.500 0.500 0.500
0.000 0.500 0.500
0.500 0.000 0.500
0.500 0.500 0.000
0.000 0.000 0.000
0.000 0.241 0.241
0.000 0.759 0.759
0.241 0.000 0.241
0.241 0.241 0.000
0.250 0.500 0.750
0.250 0.750 0.500
0.500 0.250 0.750
0.500 0.750 0.250
0.750 0.250 0.500
0.750 0.500 0.250
0.759 0.000 0.759
0.759 0.759 0.000
```

Top 10 peaks for 2θ = 10–90°, low angle first:
14.6 deg, intensity 100
25.4 deg, intensity 56
29.4 deg, intensity 100
33.0 deg, intensity 27
39.2 deg, intensity 34
42.0 deg, intensity 49
52.1 deg, intensity 42
54.4 deg, intensity 21
61.0 deg, intensity 30
84.3 deg, intensity 23

---

This entry pairs a crystal structure of CdPH with its calculated XRD peak list. Radiation: Cu Kα (λ = 1.5418 Å). Structure: a structure optimized by DFT (GGA-PBE).
Kinematic intensities with the Lorentz-polarization factor, no thermal factor.

Crystal structure
```
CdPH
1.0
2.424 -3.671 0.000
2.424 3.671 0.000
-1.560 0.000 7.542
Cd P H
2 2 2
Direct
0.110 0.890 0.500
0.890 0.110 0.000
0.296 0.967 0.832
0.967 0.296 0.332
0.171 0.616 0.842
0.616 0.171 0.342
```

Top 10 peaks for 2θ = 10–90°, low angle first:
22.3 deg, intensity 100
23.4 deg, intensity 63
23.6 deg, intensity 45
27.0 deg, intensity 79
29.7 deg, intensity 26
35.4 deg, intensity 27
39.0 deg, intensity 20
42.2 deg, intensity 19
43.6 deg, intensity 32
45.0 deg, intensity 29

---

This entry pairs a crystal structure of Y2CuPd2 with its calculated XRD peak list. Radiation: Cu Kα (λ = 1.5418 Å). Structure: a structure optimized by DFT (GGA-PBE).
Kinematic intensities with the Lorentz-polarization factor, no thermal factor.

Crystal structure
```
Y2CuPd2
1.0
7.450 0.000 0.000
0.000 7.450 0.000
0.000 0.000 3.810
Y Cu Pd
4 2 4
Direct
0.173 0.327 0.000
0.327 0.827 0.000
0.673 0.173 0.000
0.827 0.673 0.000
0.000 0.000 0.500
0.500 0.500 0.500
0.133 0.633 0.500
0.367 0.133 0.500
0.633 0.867 0.500
0.867 0.367 0.500
```

Top 10 peaks for 2θ = 10–90°, low angle first:
16.8 deg, intensity 9
33.6 deg, intensity 16
35.8 deg, intensity 100
38.2 deg, intensity 36
43.8 deg, intensity 7
47.7 deg, intensity 14
56.4 deg, intensity 10
62.7 deg, intensity 16
72.7 deg, intensity 12
81.0 deg, intensity 9

---

This entry pairs a crystal structure of Tb3NCl5 with its calculated XRD peak list. Radiation: Cu Kα (λ = 1.5418 Å). Structure: a structure optimized by DFT (GGA-PBE).
Kinematic intensities with the Lorentz-polarization factor, no thermal factor.

Crystal structure
```
Tb3NCl5
1.0
6.044 -4.759 0.000
6.044 4.759 0.000
-3.343 0.000 8.150
Tb N Cl
6 2 10
Direct
0.000 0.000 0.000
0.000 0.000 0.500
0.252 0.252 0.381
0.357 0.357 0.859
0.643 0.643 0.141
0.748 0.748 0.619
0.068 0.068 0.286
0.932 0.932 0.714
0.000 0.392 0.645
0.000 0.608 0.355
0.239 0.239 0.067
0.284 0.716 0.000
0.392 0.000 0.645
0.465 0.465 0.656
0.535 0.535 0.344
0.608 0.000 0.355
0.716 0.284 0.000
0.761 0.761 0.933
```

Top 10 peaks for 2θ = 10–90°, low angle first:
15.4 deg, intensity 33
18.6 deg, intensity 100
21.6 deg, intensity 38
25.7 deg, intensity 24
27.6 deg, intensity 54
31.4 deg, intensity 18
34.0 deg, intensity 29
37.2 deg, intensity 24
37.8 deg, intensity 30
38.6 deg, intensity 47

---

This entry pairs a crystal structure of RbNd2C2N6 with its calculated XRD peak list. Radiation: Cu Kα (λ = 1.5418 Å). Structure: a structure optimized by DFT (GGA-PBE).
Kinematic intensities with the Lorentz-polarization factor, no thermal factor.

Crystal structure
```
RbNd2C2N6
1.0
5.226 -3.179 0.000
5.226 3.179 0.000
-2.522 0.000 5.836
Rb Nd C N
1 2 2 6
Direct
0.000 0.000 0.000
0.329 0.329 0.701
0.671 0.671 0.299
0.336 0.336 0.248
0.664 0.664 0.752
0.113 0.468 0.311
0.420 0.420 0.136
0.468 0.113 0.311
0.532 0.887 0.689
0.580 0.580 0.864
0.887 0.532 0.689
```

Top 10 peaks for 2θ = 10–90°, low angle first:
16.7 deg, intensity 24
18.7 deg, intensity 100
25.0 deg, intensity 84
28.1 deg, intensity 54
31.3 deg, intensity 90
31.6 deg, intensity 68
33.9 deg, intensity 50
45.8 deg, intensity 26
46.2 deg, intensity 29
47.9 deg, intensity 42

---

This entry pairs a crystal structure of Np2SnGe3Ir4 with its calculated XRD peak list. Radiation: Cu Kα (λ = 1.5418 Å). Structure: a structure optimized by DFT (GGA-PBE).
Kinematic intensities with the Lorentz-polarization factor, no thermal factor.

Crystal structure
```
Np2SnGe3Ir4
1.0
4.143 0.000 0.000
0.000 4.143 0.000
0.000 0.000 10.996
Np Sn Ge Ir
2 1 3 4
Direct
0.000 0.500 0.242
0.500 0.000 0.758
0.000 0.000 0.500
0.000 0.500 0.875
0.500 0.000 0.125
0.500 0.500 0.500
0.000 0.000 0.000
0.000 0.500 0.655
0.500 0.000 0.345
0.500 0.500 0.000
```

Top 10 peaks for 2θ = 10–90°, low angle first:
30.5 deg, intensity 9
32.6 deg, intensity 44
34.7 deg, intensity 100
43.7 deg, intensity 47
45.2 deg, intensity 10
46.8 deg, intensity 28
55.6 deg, intensity 23
63.5 deg, intensity 16
65.9 deg, intensity 20
74.4 deg, intensity 23

---

This entry pairs a crystal structure of Dy6C3SeS2 with its calculated XRD peak list. Radiation: Cu Kα (λ = 1.5418 Å). Structure: a structure optimized by DFT (GGA-PBE).
Kinematic intensities with the Lorentz-polarization factor, no thermal factor.

Crystal structure
```
Dy6C3SeS2
1.0
8.394 -1.868 0.000
8.394 1.868 0.000
-2.163 0.000 7.437
Dy C Se S
6 3 1 2
Direct
0.009 0.009 0.223
0.323 0.323 0.437
0.341 0.341 0.896
0.659 0.659 0.104
0.677 0.677 0.563
0.991 0.991 0.777
0.167 0.167 0.332
0.500 0.500 0.000
0.833 0.833 0.668
0.500 0.500 0.500
0.167 0.167 0.833
0.833 0.833 0.167
```

Top 10 peaks for 2θ = 10–90°, low angle first:
27.7 deg, intensity 19
29.1 deg, intensity 71
33.3 deg, intensity 100
36.2 deg, intensity 18
47.0 deg, intensity 27
48.8 deg, intensity 37
57.0 deg, intensity 17
60.4 deg, intensity 18
66.4 deg, intensity 14
81.1 deg, intensity 15

---

This entry pairs a crystal structure of Rb2NbOsBr6 with its calculated XRD peak list. Radiation: Cu Kα (λ = 1.5418 Å). Structure: a structure optimized by DFT (GGA-PBE).
Kinematic intensities with the Lorentz-polarization factor, no thermal factor.

Crystal structure
```
Rb2NbOsBr6
1.0
-3.753 3.753 5.332
3.753 -3.753 5.332
3.753 3.753 -5.332
Rb Nb Os Br
2 1 1 6
Direct
0.250 0.750 0.500
0.750 0.250 0.500
0.000 0.000 0.000
0.500 0.500 0.000
0.256 0.256 0.000
0.256 0.256 0.513
0.256 0.744 0.000
0.744 0.256 0.000
0.744 0.744 0.000
0.744 0.744 0.487
```

Top 10 peaks for 2θ = 10–90°, low angle first:
16.7 deg, intensity 72
23.7 deg, intensity 71
29.1 deg, intensity 49
33.6 deg, intensity 51
33.8 deg, intensity 100
41.6 deg, intensity 32
48.4 deg, intensity 71
48.5 deg, intensity 35
60.3 deg, intensity 36
81.0 deg, intensity 31